1.
Structure and simulated PXRD pattern of Ac2TbPm6 (DFT lattice parameters and positions (PBE); Cu Kα (weighted mean of Kα1 and Kα2)).
No peak broadening, texture or thermal motion is included.

Principal peaks in the range 10 to 90 degrees two-theta, in order of rising 2θ:
| 2θ (°) | I (rel.) | hkl |
| --- | --- | --- |
| 21.11 | 8 | 3 1 0 |
| 22.72 | 13 | 4 0 0 |
| 29.80 | 100 | 2 0 -2 |
| 30.03 | 44 | 3 1 1 |
| 32.26 | 22 | 4 0 1 |
| 33.98 | 28 | 2 2 1 |
| 52.93 | 13 | 4 2 -3 |
| 53.16 | 8 | 7 1 -3 |
| 60.54 | 9 | 2 4 -2 |
| 61.98 | 10 | 4 0 -4 |

Cell and atoms:
```
data_Ac2TbPm6
_chemical_formula_sum 'Ac4 Tb2 Pm12'
_symmetry_space_group_name_H-M 'C 1 2/m 1'
_symmetry_Int_Tables_number 12
_symmetry_space_group_name_Hall '-C 2y'
_cell_length_a 16.747
_cell_length_b 7.117
_cell_length_c 5.986
_cell_angle_alpha 90.00
_cell_angle_beta 110.79
_cell_angle_gamma 90.00
loop_
_atom_site_label
_atom_site_type_symbol
_atom_site_fract_x
_atom_site_fract_y
_atom_site_fract_z
Ac1 Ac 0.141 0.000 0.142
Tb1 Tb 0.000 0.500 0.000
Pm1 Pm 0.108 0.274 0.609
Pm2 Pm 0.211 0.500 0.211
```


2.
Structure and simulated PXRD pattern of LaIn2Hg4 (DFT lattice parameters and positions (PBE); Cu Kα (weighted mean of Kα1 and Kα2)).
No peak broadening, texture or thermal motion is included.

Principal peaks in the range 10 to 90 degrees two-theta, in order of rising 2θ:
| 2θ (°) | I (rel.) | hkl |
| --- | --- | --- |
| 24.85 | 17 | 1 1 0 |
| 27.60 | 12 | 1 1 1 |
| 34.64 | 100 | 1 1 2 |
| 35.43 | 52 | 2 0 0 |
| 50.98 | 18 | 2 2 0 |
| 51.37 | 8 | 2 0 3 |
| 61.57 | 14 | 2 0 4 |
| 63.11 | 35 | 3 1 2 |
| 73.09 | 9 | 2 2 4 |
| 85.75 | 9 | 4 2 0 |

Cell and atoms:
```
data_LaIn2Hg4
_chemical_formula_sum 'La1 In2 Hg4'
_symmetry_space_group_name_H-M 'P 4/m m m'
_symmetry_Int_Tables_number 123
_symmetry_space_group_name_Hall '-P 4 2'
_cell_length_a 5.067
_cell_length_b 5.067
_cell_length_c 7.493
_cell_angle_alpha 90.00
_cell_angle_beta 90.00
_cell_angle_gamma 90.00
loop_
_atom_site_label
_atom_site_type_symbol
_atom_site_fract_x
_atom_site_fract_y
_atom_site_fract_z
La1 La 0.000 0.000 0.000
In1 In 0.000 0.000 0.500
In2 In 0.500 0.500 0.000
Hg1 Hg 0.000 0.500 0.279
```


3.
Structure and simulated PXRD pattern of ZnBiSbTe2 (DFT lattice parameters and positions (PBE); Cu Kα (weighted mean of Kα1 and Kα2)).
No peak broadening, texture or thermal motion is included.

Principal peaks in the range 10 to 90 degrees two-theta, in order of rising 2θ:
| 2θ (°) | I (rel.) | hkl |
| --- | --- | --- |
| 23.82 | 16 | 1 0 1 |
| 29.23 | 100 | 1 1 1 |
| 33.76 | 57 | 2 0 0 |
| 34.12 | 28 | 0 0 2 |
| 48.50 | 20 | 2 2 0 |
| 48.76 | 40 | 2 0 2 |
| 57.64 | 30 | 3 1 1 |
| 58.11 | 15 | 1 1 3 |
| 60.63 | 21 | 2 2 2 |
| 78.99 | 12 | 3 1 3 |

Cell and atoms:
```
data_ZnBiSbTe2
_chemical_formula_sum 'Zn1 Bi1 Sb1 Te2'
_symmetry_space_group_name_H-M 'P 4/m m m'
_symmetry_Int_Tables_number 123
_symmetry_space_group_name_Hall '-P 4 2'
_cell_length_a 5.309
_cell_length_b 5.309
_cell_length_c 5.255
_cell_angle_alpha 90.00
_cell_angle_beta 90.00
_cell_angle_gamma 90.00
loop_
_atom_site_label
_atom_site_type_symbol
_atom_site_fract_x
_atom_site_fract_y
_atom_site_fract_z
Zn1 Zn 0.000 0.000 0.000
Bi1 Bi 0.500 0.500 0.500
Sb1 Sb 0.000 0.000 0.500
Te1 Te 0.000 0.500 0.000
```


4.
Structure and simulated PXRD pattern of CsRhPb2 (DFT lattice parameters and positions (PBE); Cu Kα (weighted mean of Kα1 and Kα2)).
No peak broadening, texture or thermal motion is included.

Principal peaks in the range 10 to 90 degrees two-theta, in order of rising 2θ:
| 2θ (°) | I (rel.) | hkl |
| --- | --- | --- |
| 11.81 | 74 | 0 0 3 |
| 27.47 | 100 | 1 0 4 |
| 29.99 | 67 | 0 1 5 |
| 35.94 | 44 | 1 0 7 |
| 39.22 | 80 | 1 1 0 |
| 41.10 | 23 | 1 1 3 |
| 46.39 | 52 | 1 0 10 |
| 54.25 | 28 | 0 2 7 |
| 62.35 | 37 | 0 1 14 |
| 76.18 | 32 | 2 0 14 |

Cell and atoms:
```
data_CsRhPb2
_chemical_formula_sum 'Cs3 Rh3 Pb6'
_symmetry_space_group_name_H-M 'R -3 m'
_symmetry_Int_Tables_number 166
_symmetry_space_group_name_Hall '-R 3 2"'
_cell_length_a 4.5937
_cell_length_b 4.5937
_cell_length_c 22.4792
_cell_angle_alpha 90.00
_cell_angle_beta 90.00
_cell_angle_gamma 120.00
loop_
_atom_site_label
_atom_site_type_symbol
_atom_site_fract_x
_atom_site_fract_y
_atom_site_fract_z
Cs1 Cs 0.0000 0.0000 0.0000
Rh1 Rh 0.0000 0.0000 0.5000
Pb1 Pb 0.0000 0.0000 0.2095
```


5.
Structure and simulated PXRD pattern of Pa2NiB10 (DFT lattice parameters and positions (PBE); Cu Kα (weighted mean of Kα1 and Kα2)).
No peak broadening, texture or thermal motion is included.

Principal peaks in the range 10 to 90 degrees two-theta, in order of rising 2θ:
| 2θ (°) | I (rel.) | hkl |
| --- | --- | --- |
| 21.58 | 42 | 0 0 1 |
| 22.75 | 81 | 1 2 0 |
| 28.17 | 21 | 1 1 1 |
| 31.56 | 100 | 1 2 1 |
| 32.54 | 19 | 0 4 0 |
| 39.14 | 26 | 2 0 1 |
| 39.38 | 42 | 0 4 1 |
| 40.02 | 21 | 2 1 1 |
| 43.98 | 17 | 0 0 2 |
| 50.05 | 38 | 1 2 2 |

Cell and atoms:
```
data_Pa2NiB10
_chemical_formula_sum 'Pa4 Ni2 B20'
_symmetry_space_group_name_H-M 'P b a m'
_symmetry_Int_Tables_number 55
_symmetry_space_group_name_Hall '-P 2 2ab'
_cell_length_a 5.552
_cell_length_b 11.008
_cell_length_c 4.118
_cell_angle_alpha 90.00
_cell_angle_beta 90.00
_cell_angle_gamma 90.00
loop_
_atom_site_label
_atom_site_type_symbol
_atom_site_fract_x
_atom_site_fract_y
_atom_site_fract_z
Pa1 Pa 0.187 0.139 0.000
Ni1 Ni 0.000 0.500 0.500
B1 B 0.030 0.312 0.500
B2 B 0.125 0.961 0.500
B3 B 0.156 0.802 0.500
B4 B 0.200 0.386 0.197
```


6.
Structure and simulated PXRD pattern of AgH3Ir (DFT lattice parameters and positions (PBE); Cu Kα (weighted mean of Kα1 and Kα2)).
No peak broadening, texture or thermal motion is included.

Principal peaks in the range 10 to 90 degrees two-theta, in order of rising 2θ:
| 2θ (°) | I (rel.) | hkl |
| --- | --- | --- |
| 21.97 | 93 | 1 0 0 |
| 38.54 | 73 | 1 1 0 |
| 40.13 | 100 | 1 0 1 |
| 44.80 | 15 | 2 0 0 |
| 56.85 | 37 | 2 0 1 |
| 60.54 | 12 | 2 1 0 |
| 69.72 | 13 | 3 0 0 |
| 70.79 | 37 | 2 1 1 |
| 82.47 | 16 | 1 1 2 |
| 82.60 | 8 | 2 2 0 |

Cell and atoms:
```
data_AgH3Ir
_chemical_formula_sum 'Ag1 H3 Ir1'
_symmetry_space_group_name_H-M 'P -6 m 2'
_symmetry_Int_Tables_number 187
_symmetry_space_group_name_Hall 'P -6 2'
_cell_length_a 4.6724
_cell_length_b 4.6724
_cell_length_c 2.7020
_cell_angle_alpha 90.00
_cell_angle_beta 90.00
_cell_angle_gamma 120.00
loop_
_atom_site_label
_atom_site_type_symbol
_atom_site_fract_x
_atom_site_fract_y
_atom_site_fract_z
Ag1 Ag 0.0000 0.0000 0.0000
H1 H 0.5197 0.0394 0.0000
Ir1 Ir 0.6667 0.3333 0.5000
```


7.
Structure and simulated PXRD pattern of Na2Dy2AuO6 (DFT lattice parameters and positions (PBE); Cu Kα (weighted mean of Kα1 and Kα2)).
No peak broadening, texture or thermal motion is included.

Principal peaks in the range 10 to 90 degrees two-theta, in order of rising 2θ:
| 2θ (°) | I (rel.) | hkl |
| --- | --- | --- |
| 15.63 | 100 | 0 0 1 |
| 30.72 | 33 | 1 3 0 |
| 31.56 | 17 | 0 0 2 |
| 31.87 | 16 | 2 0 -1 |
| 32.02 | 16 | 2 0 0 |
| 32.66 | 30 | 1 3 -1 |
| 36.54 | 43 | 1 3 1 |
| 39.03 | 18 | 2 0 -2 |
| 41.40 | 13 | 1 3 -2 |
| 47.68 | 14 | 1 3 2 |

Cell and atoms:
```
data_Na2Dy2AuO6
_chemical_formula_sum 'Na4 Dy4 Au2 O12'
_symmetry_space_group_name_H-M 'C 1 2/m 1'
_symmetry_Int_Tables_number 12
_symmetry_space_group_name_Hall '-C 2y'
_cell_length_a 5.783
_cell_length_b 10.225
_cell_length_c 5.865
_cell_angle_alpha 90.00
_cell_angle_beta 104.85
_cell_angle_gamma 90.00
loop_
_atom_site_label
_atom_site_type_symbol
_atom_site_fract_x
_atom_site_fract_y
_atom_site_fract_z
Na1 Na 0.000 0.151 0.000
Dy1 Dy 0.000 0.335 0.500
Au1 Au 0.000 0.000 0.500
O1 O 0.214 0.170 0.705
O2 O 0.247 0.000 0.303
```


8.
Structure and simulated PXRD pattern of Ac3Al6Cu5 (DFT lattice parameters and positions (PBE); Cu Kα (weighted mean of Kα1 and Kα2)).
No peak broadening, texture or thermal motion is included.

Principal peaks in the range 10 to 90 degrees two-theta, in order of rising 2θ:
| 2θ (°) | I (rel.) | hkl |
| --- | --- | --- |
| 15.84 | 37 | 0 0 2 |
| 22.60 | 48 | 1 0 1 |
| 22.87 | 51 | 0 3 1 |
| 30.28 | 60 | 1 3 0 |
| 32.06 | 97 | 1 0 3 |
| 32.27 | 59 | 0 3 3 |
| 34.35 | 100 | 1 3 2 |
| 43.05 | 29 | 2 0 0 |
| 46.09 | 27 | 0 3 5 |
| 54.81 | 27 | 2 3 3 |

Cell and atoms:
```
data_Ac3Al6Cu5
_chemical_formula_sum 'Ac6 Al12 Cu10'
_symmetry_space_group_name_H-M 'P m m n'
_symmetry_Int_Tables_number 59
_cell_length_a 4.202
_cell_length_b 12.441
_cell_length_c 11.193
_cell_angle_alpha 90.00
_cell_angle_beta 90.00
_cell_angle_gamma 90.00
loop_
_symmetry_equiv_pos_as_xyz
'x,y,z'
'-x,-y,-z'
'-x+1/2,-y+1/2,z'
'x+1/2,y+1/2,-z'
'x+1/2,-y,-z'
'-x+1/2,y,z'
'-x,y+1/2,-z'
'x,-y+1/2,z'
loop_
_atom_site_label
_atom_site_type_symbol
_atom_site_fract_x
_atom_site_fract_y
_atom_site_fract_z
Ac1 Ac 0.250 0.095 0.244
Ac2 Ac 0.250 0.750 0.256
Al1 Al 0.250 0.052 0.578
Al2 Al 0.250 0.250 0.495
Al3 Al 0.250 0.250 0.984
Al4 Al 0.250 0.579 0.010
Cu1 Cu 0.250 0.078 0.859
Cu2 Cu 0.250 0.643 0.524
Cu3 Cu 0.250 0.750 0.897
```


9.
Structure and simulated PXRD pattern of NpInGaCl6 (DFT lattice parameters and positions (PBE); Cu Kα (weighted mean of Kα1 and Kα2)).
No peak broadening, texture or thermal motion is included.

Principal peaks in the range 10 to 90 degrees two-theta, in order of rising 2θ:
| 2θ (°) | I (rel.) | hkl |
| --- | --- | --- |
| 14.44 | 46 | 1 0 1 |
| 18.08 | 100 | 1 1 0 |
| 24.09 | 63 | 1 0 3 |
| 35.49 | 80 | 2 1 3 |
| 36.63 | 29 | 2 2 0 |
| 41.13 | 17 | 3 1 0 |
| 44.32 | 32 | 3 0 3 |
| 45.48 | 18 | 1 1 6 |
| 51.92 | 14 | 3 2 3 |
| 58.80 | 16 | 4 1 3 |

Cell and atoms:
```
data_NpInGaCl6
_chemical_formula_sum 'Np2 In2 Ga2 Cl12'
_symmetry_space_group_name_H-M 'P 42 n m'
_symmetry_Int_Tables_number 102
_symmetry_space_group_name_Hall 'P 4n -2n'
_cell_length_a 6.940
_cell_length_b 6.940
_cell_length_c 13.096
_cell_angle_alpha 90.00
_cell_angle_beta 90.00
_cell_angle_gamma 90.00
loop_
_atom_site_label
_atom_site_type_symbol
_atom_site_fract_x
_atom_site_fract_y
_atom_site_fract_z
Np1 Np 0.000 0.000 0.000
In1 In 0.000 0.000 0.336
Ga1 Ga 0.000 0.000 0.673
Cl1 Cl 0.177 0.177 0.848
Cl2 Cl 0.186 0.186 0.144
Cl3 Cl 0.234 0.234 0.504
```


10.
Structure and simulated PXRD pattern of Sm5Dy2Er6 (DFT lattice parameters and positions (PBE); Cu Kα (weighted mean of Kα1 and Kα2)).
No peak broadening, texture or thermal motion is included.

Principal peaks in the range 10 to 90 degrees two-theta, in order of rising 2θ:
| 2θ (°) | I (rel.) | hkl |
| --- | --- | --- |
| 31.17 | 66 | 4 1 0 |
| 31.58 | 55 | 1 4 1 |
| 31.71 | 65 | 1 7 0 |
| 31.92 | 20 | 3 5 0 |
| 32.28 | 100 | 2 3 1 |
| 34.37 | 38 | 2 4 1 |
| 35.19 | 21 | 3 6 0 |
| 36.75 | 36 | 3 3 1 |
| 51.20 | 24 | 0 0 2 |
| 61.49 | 20 | 1 7 2 |

Cell and atoms:
```
data_Sm5Dy2Er6
_chemical_formula_sum 'Sm10 Dy4 Er12'
_symmetry_space_group_name_H-M 'P b a m'
_symmetry_Int_Tables_number 55
_symmetry_space_group_name_Hall '-P 2 2ab'
_cell_length_a 11.594
_cell_length_b 20.365
_cell_length_c 3.568
_cell_angle_alpha 90.00
_cell_angle_beta 90.00
_cell_angle_gamma 90.00
loop_
_atom_site_label
_atom_site_type_symbol
_atom_site_fract_x
_atom_site_fract_y
_atom_site_fract_z
Sm1 Sm 0.000 0.000 0.000
Sm2 Sm 0.085 0.273 0.000
Sm3 Sm 0.199 0.550 0.000
Dy1 Dy 0.170 0.710 0.500
Er1 Er 0.061 0.419 0.500
Er2 Er 0.081 0.131 0.500
Er3 Er 0.175 0.863 0.000
```


11.
Structure and simulated PXRD pattern of EuTmGa (DFT lattice parameters and positions (PBE); Cu Kα (weighted mean of Kα1 and Kα2)).
No peak broadening, texture or thermal motion is included.

Principal peaks in the range 10 to 90 degrees two-theta, in order of rising 2θ:
| 2θ (°) | I (rel.) | hkl |
| --- | --- | --- |
| 25.36 | 28 | 1 0 1 |
| 28.10 | 18 | 0 0 4 |
| 32.36 | 100 | 1 0 3 |
| 34.71 | 55 | 1 1 0 |
| 43.38 | 13 | 1 0 5 |
| 45.24 | 20 | 1 1 4 |
| 49.90 | 19 | 2 0 0 |
| 56.64 | 13 | 1 0 7 |
| 60.74 | 33 | 2 1 3 |
| 78.81 | 10 | 2 1 7 |

Cell and atoms:
```
data_EuTmGa
_chemical_formula_sum 'Eu2 Tm2 Ga2'
_symmetry_space_group_name_H-M 'I 4 m m'
_symmetry_Int_Tables_number 107
_symmetry_space_group_name_Hall 'I 4 -2'
_cell_length_a 3.655
_cell_length_b 3.655
_cell_length_c 12.700
_cell_angle_alpha 90.00
_cell_angle_beta 90.00
_cell_angle_gamma 90.00
loop_
_atom_site_label
_atom_site_type_symbol
_atom_site_fract_x
_atom_site_fract_y
_atom_site_fract_z
Eu1 Eu 0.000 0.000 0.000
Tm1 Tm 0.000 0.000 0.276
Ga1 Ga 0.000 0.000 0.657
```


12.
Structure and simulated PXRD pattern of Sc3Ag2 (DFT lattice parameters and positions (PBE); Cu Kα (weighted mean of Kα1 and Kα2)).
No peak broadening, texture or thermal motion is included.

Principal peaks in the range 10 to 90 degrees two-theta, in order of rising 2θ:
| 2θ (°) | I (rel.) | hkl |
| --- | --- | --- |
| 19.16 | 12 | 0 0 4 |
| 26.76 | 20 | 1 0 1 |
| 35.92 | 100 | 1 0 5 |
| 37.55 | 46 | 1 1 0 |
| 42.49 | 7 | 1 1 4 |
| 49.17 | 9 | 0 0 10 |
| 54.16 | 15 | 2 0 0 |
| 63.48 | 15 | 1 1 10 |
| 66.71 | 29 | 2 1 5 |
| 76.15 | 9 | 2 0 10 |

Cell and atoms:
```
data_Sc3Ag2
_chemical_formula_sum 'Sc6 Ag4'
_symmetry_space_group_name_H-M 'I 4/m m m'
_symmetry_Int_Tables_number 139
_symmetry_space_group_name_Hall '-I 4 2'
_cell_length_a 3.387
_cell_length_b 3.387
_cell_length_c 18.529
_cell_angle_alpha 90.00
_cell_angle_beta 90.00
_cell_angle_gamma 90.00
loop_
_atom_site_label
_atom_site_type_symbol
_atom_site_fract_x
_atom_site_fract_y
_atom_site_fract_z
Sc1 Sc 0.000 0.000 0.000
Sc2 Sc 0.000 0.000 0.190
Ag1 Ag 0.000 0.000 0.405
```


Copy entry 5 word for word.
Structure and simulated PXRD pattern of Pa2NiB10 (DFT lattice parameters and positions (PBE); Cu Kα (weighted mean of Kα1 and Kα2)).
No peak broadening, texture or thermal motion is included.

Principal peaks in the range 10 to 90 degrees two-theta, in order of rising 2θ:
| 2θ (°) | I (rel.) | hkl |
| --- | --- | --- |
| 21.58 | 42 | 0 0 1 |
| 22.75 | 81 | 1 2 0 |
| 28.17 | 21 | 1 1 1 |
| 31.56 | 100 | 1 2 1 |
| 32.54 | 19 | 0 4 0 |
| 39.14 | 26 | 2 0 1 |
| 39.38 | 42 | 0 4 1 |
| 40.02 | 21 | 2 1 1 |
| 43.98 | 17 | 0 0 2 |
| 50.05 | 38 | 1 2 2 |

Cell and atoms:
```
data_Pa2NiB10
_chemical_formula_sum 'Pa4 Ni2 B20'
_symmetry_space_group_name_H-M 'P b a m'
_symmetry_Int_Tables_number 55
_symmetry_space_group_name_Hall '-P 2 2ab'
_cell_length_a 5.552
_cell_length_b 11.008
_cell_length_c 4.118
_cell_angle_alpha 90.00
_cell_angle_beta 90.00
_cell_angle_gamma 90.00
loop_
_atom_site_label
_atom_site_type_symbol
_atom_site_fract_x
_atom_site_fract_y
_atom_site_fract_z
Pa1 Pa 0.187 0.139 0.000
Ni1 Ni 0.000 0.500 0.500
B1 B 0.030 0.312 0.500
B2 B 0.125 0.961 0.500
B3 B 0.156 0.802 0.500
B4 B 0.200 0.386 0.197
```


Number 1 is which compound? Ac2TbPm6